# Na3TiNbSi3O12
Computed powder diffractogram, Cu Kα X-rays. Input: the GGA-PBE geometry in the Materials Project.

Crystal structure
```
Na3TiNbSi3O12
1.0
7.8207 -4.4988 0.0000
7.8207 4.4988 0.0000
-5.1242 0.0000 7.4063
Na Ti Nb Si O
6 2 2 6 24
direct
0.0602 0.9398 0.5000
0.1990 0.4178 0.6612
0.3303 0.7911 0.9177
0.4178 0.1990 0.1612
0.7911 0.3303 0.4177
0.9398 0.0602 0.0000
0.1664 0.6653 0.0560
0.6653 0.1664 0.5560
0.4576 0.9503 0.7640
0.9503 0.4576 0.2640
0.0507 0.2789 0.8597
0.2789 0.0507 0.3597
0.3512 0.5586 0.4488
0.5586 0.3512 0.9488
0.7703 0.8540 0.1556
0.8540 0.7703 0.6556
0.0207 0.3073 0.0410
0.0379 0.7484 0.8291
0.0891 0.2301 0.3436
0.1006 0.4488 0.9000
0.1763 0.5172 0.4175
0.2301 0.0891 0.8436
0.2414 0.8865 0.1715
0.2970 0.6034 0.2685
0.3073 0.0207 0.5410
0.3624 0.7385 0.6305
0.3817 0.5333 0.9615
0.4488 0.1006 0.4000
0.5172 0.1763 0.9175
0.5333 0.3817 0.4615
0.5771 0.8770 0.9882
0.6034 0.2970 0.7685
0.6746 0.8162 0.7003
0.7385 0.3624 0.1305
0.7484 0.0379 0.3291
0.8162 0.6746 0.2003
0.8173 0.9446 0.6133
0.8770 0.5771 0.4882
0.8865 0.2414 0.6715
0.9446 0.8173 0.1133
```

The 10 most intense peaks (2θ = 10–90°), in order of rising 2θ:
2θ (°)  I/Imax
13.91  24
19.56  44
19.70  100
23.14  31
28.04  28
31.24  36
31.42  62
34.13  19
34.44  38
45.05  23